(1)
Structure and simulated powder XRD pattern of GeB6N6 (the GGA-PBE geometry in Alexandria; copper Kα).

Top 10 peaks for 2θ from 10° to 90°, most intense first:
19.26°, d 4.608, I 100, (1 0 0); 48.39°, d 1.881, I 78, (2 1 1); 43.94°, d 2.061, I 50, (2 0 1); 39.10°, d 2.304, I 39, (2 0 0); 77.51°, d 1.231, I 34, (3 1 2); 33.69°, d 2.660, I 33, (1 1 1); 60.26°, d 1.536, I 22, (3 0 0); 87.23°, d 1.118, I 13, (3 2 2); 67.41°, d 1.389, I 13, (3 1 1); 27.37°, d 3.258, I 12, (1 1 0)

Crystal structure
Cell: 4.608 4.608 4.608 Å, 90.00 90.00 90.00°
Space group Pm-3 (No. 200)
Unique sites:
Ge: 0.000 0.000 0.000 x1
B: 0.000 0.245 0.500 x6
N: 0.000 0.500 0.254 x6

(2)
Structure and simulated powder XRD pattern of Rb3LiC2O6 (the GGA-PBE geometry in Alexandria; copper Kα).

Top 10 peaks for 2θ from 10° to 90°, most intense first:
31.24°, d 2.863, I 100, (1 1 0); 21.95°, d 4.049, I 60, (1 0 1); 38.51°, d 2.338, I 50, (0 2 1); 50.39°, d 1.811, I 31, (2 1 1); 44.76°, d 2.025, I 27, (2 0 2); 55.60°, d 1.653, I 21, (3 0 0); 69.66°, d 1.350, I 17, (1 3 1); 78.31°, d 1.221, I 13, (0 2 5); 25.38°, d 3.509, I 12, (0 0 2); 65.17°, d 1.431, I 12, (2 2 0)

Crystal structure
Cell: 5.7249 5.7249 7.0179 Å, 90.00 90.00 120.00°
Space group P-3m1 (No. 164)
Unique sites:
Rb: 0.0000 0.0000 0.0000 x1
Rb: 0.3333 0.6667 0.7137 x2
Li: 0.0000 0.0000 0.5000 x1
C: 0.3333 0.6667 0.2918 x2
O: 0.2014 0.4027 0.2929 x6

(3)
Structure and simulated powder XRD pattern of La3Pr4Co2 (the GGA-PBE geometry in Alexandria; copper Kα).

Top 10 peaks for 2θ from 10° to 90°, most intense first:
33.75°, d 2.656, I 100, (1 1 2); 31.78°, d 2.816, I 93, (6 0 -2); 28.95°, d 3.084, I 89, (4 0 1); 28.38°, d 3.144, I 86, (3 1 -1); 28.54°, d 3.128, I 76, (2 0 -3); 30.46°, d 2.935, I 47, (1 1 -2); 29.15°, d 3.063, I 39, (3 1 0); 48.01°, d 1.895, I 36, (0 2 0); 48.93°, d 1.861, I 35, (2 0 4); 58.73°, d 1.572, I 32, (6 2 -2)

Crystal structure
Cell: 17.246 3.790 9.405 Å, 90.00 115.20 90.00°
Space group C2/m (No. 12)
Unique sites:
La: 0.000 0.000 0.000 x2
La: 0.070 0.000 0.695 x4
Pr: 0.141 0.500 0.391 x4
Pr: 0.226 0.000 0.143 x4
Co: 0.115 0.500 0.927 x4

(4)
Structure and simulated powder XRD pattern of Y5Se5S2 (the GGA-PBE geometry in Alexandria; copper Kα).

Top 10 peaks for 2θ from 10° to 90°, most intense first:
30.37°, d 2.943, I 100, (3 1 -1); 31.91°, d 2.804, I 46, (3 1 -2); 37.71°, d 2.385, I 41, (1 1 -4); 23.31°, d 3.816, I 41, (2 0 2); 45.83°, d 1.980, I 34, (0 2 0); 30.09°, d 2.970, I 30, (2 0 3); 33.13°, d 2.704, I 28, (3 1 1); 30.79°, d 2.904, I 26, (3 1 0); 35.22°, d 2.548, I 23, (3 1 -3); 45.68°, d 1.986, I 21, (6 0 -4)

Crystal structure
Cell: 13.290 3.960 11.966 Å, 90.00 105.33 90.00°
Space group C2/m (No. 12)
Unique sites:
Y: 0.000 0.000 0.000 x2
Y: 0.110 0.000 0.414 x4
Y: 0.190 0.500 0.808 x4
Se: 0.000 0.500 0.500 x2
Se: 0.161 0.500 0.052 x4
Se: 0.244 0.500 0.352 x4
S: 0.041 0.000 0.788 x4

(5)
Structure and simulated powder XRD pattern of Sm6Hg3Rh (the GGA-PBE geometry in Alexandria; copper Kα).

Top 10 peaks for 2θ from 10° to 90°, most intense first:
30.94°, d 2.890, I 100, (1 3 1); 35.06°, d 2.560, I 70, (2 2 3); 32.95°, d 2.718, I 50, (3 1 2); 27.09°, d 3.291, I 33, (1 0 4); 39.50°, d 2.282, I 24, (1 2 5); 34.16°, d 2.625, I 23, (2 1 4); 15.26°, d 5.804, I 23, (0 1 2); 45.43°, d 1.996, I 17, (3 2 4); 30.81°, d 2.902, I 16, (0 2 4); 55.94°, d 1.644, I 15, (1 3 7)

Crystal structure
Cell: 12.3052 12.3052 13.8423 Å, 90.00 90.00 120.00°
Space group R-3c (No. 167, hexagonal axes)
Unique sites:
Sm: 0.0376 0.1957 0.3821 x36
Hg: 0.0000 0.3965 0.2500 x18
Rh: 0.0000 0.0000 0.0000 x6

(6)
Structure and simulated powder XRD pattern of TbNd3Th2 (the GGA-PBE geometry in Alexandria; copper Kα).

Top 10 peaks for 2θ from 10° to 90°, most intense first:
30.17°, d 2.963, I 100, (2 1 0); 35.02°, d 2.563, I 67, (0 1 3); 30.32°, d 2.948, I 33, (2 0 3); 59.76°, d 1.547, I 29, (2 2 3); 50.26°, d 1.815, I 24, (0 2 0); 50.46°, d 1.809, I 24, (0 0 6); 59.88°, d 1.545, I 14, (6 1 0); 62.72°, d 1.481, I 12, (4 2 0); 59.98°, d 1.542, I 10, (2 1 6); 84.34°, d 1.148, I 8, (0 3 3)

Crystal structure
Cell: 10.234 3.634 10.860 Å, 90.00 90.31 90.00°
Space group P2_1/m (No. 11)
Unique sites:
Tb: 0.125 0.250 0.250 x2
Nd: 0.133 0.250 0.584 x2
Nd: 0.362 0.750 0.083 x2
Nd: 0.377 0.750 0.750 x2
Th: 0.116 0.250 0.919 x2
Th: 0.380 0.750 0.419 x2

(7)
Structure and simulated powder XRD pattern of Lu3Te (the GGA-PBE geometry in Alexandria; copper Kα).

Top 10 peaks for 2θ from 10° to 90°, most intense first:
35.70°, d 2.515, I 100, (1 1 1); 31.16°, d 2.870, I 99, (1 0 2); 25.78°, d 3.456, I 67, (0 1 1); 37.93°, d 2.372, I 49, (0 1 3); 59.10°, d 1.563, I 32, (1 2 2); 64.22°, d 1.450, I 29, (2 1 3); 61.53°, d 1.507, I 20, (1 1 5); 39.06°, d 2.306, I 17, (0 0 4); 48.87°, d 1.864, I 17, (0 2 0); 49.73°, d 1.833, I 16, (2 0 0)

Crystal structure
Cell: 3.667 3.728 9.223 Å, 90.00 90.00 90.00°
Space group Pmm2 (No. 25)
Unique sites:
Lu: 0.000 0.000 0.000 x1
Lu: 0.000 0.500 0.441 x1
Lu: 0.500 0.500 0.759 x1
Te: 0.500 0.000 0.271 x1